Structure and theoretical powder XRD pattern of Nd2CuHPt6 (a crystal structure in Alexandria, relaxed with GGA-PBE; Cu Ka).

Crystal structure
Unit cell a=5.683 b=5.683 c=7.022 alpha=113.81 beta=113.81 gamma=60.01
Element x y z (fractional)
Nd (0.215, 0.215, 0.145)
Nd (0.785, 0.785, 0.855)
Cu (0.500, 0.500, 0.000)
H (0.000, 0.000, 0.500)
Pt (0.232, 0.232, 0.687)
Pt (0.232, 0.724, 0.687)
Pt (0.276, 0.768, 0.313)
Pt (0.724, 0.232, 0.687)
Pt (0.768, 0.276, 0.313)
Pt (0.768, 0.768, 0.313)

Main lines, by angle (2θ = 10–80°):
2θ = 28.7°, I = 27
2θ = 30.1°, I = 21
2θ = 34.7°, I = 23
2θ = 37.8°, I = 100
2θ = 38.4°, I = 24
2θ = 41.5°, I = 71
2θ = 54.9°, I = 13
2θ = 60.7°, I = 14
2θ = 65.7°, I = 27
2θ = 78.4°, I = 12